Nd2ZnNi2Rh5: simulated X-ray powder pattern (Cu Kα), based on a crystal structure in Alexandria, relaxed with GGA-PBE.

Cell: 9.2754 9.2754 3.8777 Å, 90.00 90.00 90.00°
Sites, in units of the cell vectors:
Nd 0.1772 0.3228 0.0000
Nd 0.3228 0.8228 0.0000
Nd 0.6772 0.1772 0.0000
Nd 0.8228 0.6772 0.0000
Zn 0.0000 0.0000 0.0000
Zn 0.5000 0.5000 0.0000
Ni 0.1211 0.6211 0.0000
Ni 0.3789 0.1211 0.0000
Ni 0.6211 0.8789 0.0000
Ni 0.8789 0.3789 0.0000
Rh 0.0000 0.5000 0.5000
Rh 0.0641 0.7943 0.5000
Rh 0.2057 0.0641 0.5000
Rh 0.2943 0.5641 0.5000
Rh 0.4359 0.2943 0.5000
Rh 0.5000 0.0000 0.5000
Rh 0.5641 0.7057 0.5000
Rh 0.7057 0.4359 0.5000
Rh 0.7943 0.9359 0.5000
Rh 0.9359 0.2057 0.5000

Most intense lines, 5 to 70 degrees two-theta, most intense first:
38.5 deg, d = 2.339 Å, I = 100.0, (3 1 1)
40.1 deg, d = 2.250 Å, I = 54.0, (4 1 0)
42.2 deg, d = 2.144 Å, I = 39.7, (3 2 1)
31.6 deg, d = 2.833 Å, I = 34.1, (2 1 1)
46.9 deg, d = 1.939 Å, I = 30.8, (0 0 2)
63.3 deg, d = 1.469 Å, I = 27.6, (4 1 2)
35.9 deg, d = 2.504 Å, I = 26.6, (2 2 1)
41.3 deg, d = 2.186 Å, I = 19.7, (3 3 0)
45.6 deg, d = 1.990 Å, I = 13.4, (4 0 1)
43.6 deg, d = 2.074 Å, I = 12.2, (4 2 0)